LaPmTm5Th2: calculated X-ray powder pattern (copper Kα), based on a PBE-relaxed structure.

Structure:
```
data_LaPmTm5Th2
_chemical_formula_sum 'La4 Pm4 Tm20 Th8'
_symmetry_space_group_name_H-M 'I 4/m c m'
_symmetry_Int_Tables_number 140
_symmetry_space_group_name_Hall '-I 4 2c'
_cell_length_a 8.903
_cell_length_b 8.903
_cell_length_c 15.076
_cell_angle_alpha 90.00
_cell_angle_beta 90.00
_cell_angle_gamma 90.00
loop_
_atom_site_label
_atom_site_type_symbol
_atom_site_fract_x
_atom_site_fract_y
_atom_site_fract_z
La1 La 0.000 0.000 0.250
Pm1 Pm 0.000 0.500 0.250
Tm1 Tm 0.000 0.000 0.000
Tm2 Tm 0.205 0.295 0.135
Th1 Th 0.118 0.382 0.500
```

Most intense lines, 15° ≤ 2θ ≤ 90°, sorted by position:
two_theta	I (rel.)
28.4	52
28.6	79
31.1	100
31.8	22
34.0	19
36.9	30
37.4	23
42.3	29
48.3	15
51.9	19

---

La6Pm3Tl: calculated X-ray powder pattern (copper Kα), based on a PBE-relaxed structure.

Structure:
```
data_La6Pm3Tl
_chemical_formula_sum 'La12 Pm6 Tl2'
_symmetry_space_group_name_H-M 'P 1 21/m 1'
_symmetry_Int_Tables_number 11
_cell_length_a 12.398
_cell_length_b 3.703
_cell_length_c 15.635
_cell_angle_alpha 90.00
_cell_angle_beta 99.28
_cell_angle_gamma 90.00
loop_
_symmetry_equiv_pos_as_xyz
'x,y,z'
'-x,-y,-z'
'-x,y+1/2,-z'
'x,-y+1/2,z'
loop_
_atom_site_label
_atom_site_type_symbol
_atom_site_fract_x
_atom_site_fract_y
_atom_site_fract_z
La1 La 0.076 0.250 0.397
La2 La 0.113 0.750 0.961
La3 La 0.182 0.250 0.757
La4 La 0.319 0.250 0.121
La5 La 0.322 0.750 0.331
La6 La 0.400 0.250 0.532
Pm1 Pm 0.085 0.750 0.188
Pm2 Pm 0.388 0.750 0.932
Pm3 Pm 0.438 0.750 0.725
Tl1 Tl 0.191 0.750 0.575
```

Most intense lines, 15° ≤ 2θ ≤ 90°, sorted by position:
two_theta	I (rel.)
28.2	38
29.2	71
29.7	50
29.9	53
30.7	50
31.0	100
31.9	51
32.5	35
35.9	38
59.3	37

---

La4Pm3Tl: calculated X-ray powder pattern (copper Kα), based on a PBE-relaxed structure.

Structure:
```
data_La4Pm3Tl
_chemical_formula_sum 'La8 Pm6 Tl2'
_symmetry_space_group_name_H-M 'P m n a'
_symmetry_Int_Tables_number 53
_cell_length_a 7.185
_cell_length_b 10.461
_cell_length_c 7.210
_cell_angle_alpha 90.00
_cell_angle_beta 90.00
_cell_angle_gamma 90.00
loop_
_symmetry_equiv_pos_as_xyz
'x,y,z'
'-x,-y,-z'
'-x+1/2,-y,z+1/2'
'x+1/2,y,-z+1/2'
'x,-y,-z'
'-x,y,z'
'-x+1/2,y,-z+1/2'
'x+1/2,-y,z+1/2'
loop_
_atom_site_label
_atom_site_type_symbol
_atom_site_fract_x
_atom_site_fract_y
_atom_site_fract_z
La1 La 0.000 0.000 0.000
La2 La 0.000 0.500 0.000
La3 La 0.250 0.245 0.250
Pm1 Pm 0.000 0.500 0.500
Pm2 Pm 0.250 0.244 0.750
Tl1 Tl 0.000 0.000 0.500
```

Most intense lines, 15° ≤ 2θ ≤ 90°, sorted by position:
two_theta	I (rel.)
30.1	100
34.3	18
35.3	33
50.0	24
50.6	6
58.9	15
60.1	14
60.2	14
62.6	6
62.8	6

---

La4PmTl: calculated X-ray powder pattern (copper Kα), based on a PBE-relaxed structure.

Structure:
```
data_La4PmTl
_chemical_formula_sum 'La8 Pm2 Tl2'
_symmetry_space_group_name_H-M 'P 1 21/m 1'
_symmetry_Int_Tables_number 11
_cell_length_a 6.300
_cell_length_b 7.100
_cell_length_c 8.925
_cell_angle_alpha 90.00
_cell_angle_beta 91.17
_cell_angle_gamma 90.00
loop_
_symmetry_equiv_pos_as_xyz
'x,y,z'
'-x,-y,-z'
'-x,y+1/2,-z'
'x,-y+1/2,z'
loop_
_atom_site_label
_atom_site_type_symbol
_atom_site_fract_x
_atom_site_fract_y
_atom_site_fract_z
La1 La 0.000 0.000 0.000
La2 La 0.341 0.007 0.340
La3 La 0.479 0.750 0.983
Pm1 Pm 0.161 0.250 0.669
Tl1 Tl 0.155 0.750 0.654
```

Most intense lines, 15° ≤ 2θ ≤ 90°, sorted by position:
two_theta	I (rel.)
30.0	50
30.3	49
30.5	100
34.5	36
35.5	65
50.2	24
50.5	24
59.4	22
60.8	14
60.9	13

---

La4Pm5Tl4: calculated X-ray powder pattern (copper Kα), based on a PBE-relaxed structure.

Structure:
```
data_La4Pm5Tl4
_chemical_formula_sum 'La8 Pm10 Tl8'
_symmetry_space_group_name_H-M 'I 4/m'
_symmetry_Int_Tables_number 87
_symmetry_space_group_name_Hall '-I 4'
_cell_length_a 12.638
_cell_length_b 12.638
_cell_length_c 5.319
_cell_angle_alpha 90.00
_cell_angle_beta 90.00
_cell_angle_gamma 90.00
loop_
_atom_site_label
_atom_site_type_symbol
_atom_site_fract_x
_atom_site_fract_y
_atom_site_fract_z
La1 La 0.095 0.380 0.000
Pm1 Pm 0.000 0.000 0.000
Pm2 Pm 0.098 0.188 0.500
Tl1 Tl 0.113 0.772 0.000
```

Most intense lines, 15° ≤ 2θ ≤ 90°, sorted by position:
two_theta	I (rel.)
30.5	100
31.7	10
33.7	40
36.2	18
46.9	13
50.3	14
55.7	9
58.3	17
61.7	9
62.6	7

---

La5PmTl3: calculated X-ray powder pattern (copper Kα), based on a PBE-relaxed structure.

Structure:
```
data_La5PmTl3
_chemical_formula_sum 'La10 Pm2 Tl6'
_symmetry_space_group_name_H-M 'P 63/m c m'
_symmetry_Int_Tables_number 193
_symmetry_space_group_name_Hall '-P 6c 2'
_cell_length_a 9.7702
_cell_length_b 9.7702
_cell_length_c 7.0693
_cell_angle_alpha 90.00
_cell_angle_beta 90.00
_cell_angle_gamma 120.00
loop_
_atom_site_label
_atom_site_type_symbol
_atom_site_fract_x
_atom_site_fract_y
_atom_site_fract_z
La1 La 0.0000 0.3384 0.2500
La2 La 0.3333 0.6667 0.0000
Pm1 Pm 0.0000 0.0000 0.0000
Tl1 Tl 0.0000 0.3259 0.7500
```

Most intense lines, 15° ≤ 2θ ≤ 90°, sorted by position:
two_theta	I (rel.)
31.2	88
31.7	100
40.9	17
45.1	32
56.2	33
56.5	19
62.0	30
66.3	12
75.1	14
80.1	14

---

La5Pm4Tl4: calculated X-ray powder pattern (copper Kα), based on a PBE-relaxed structure.

Structure:
```
data_La5Pm4Tl4
_chemical_formula_sum 'La10 Pm8 Tl8'
_symmetry_space_group_name_H-M 'I 4/m'
_symmetry_Int_Tables_number 87
_symmetry_space_group_name_Hall '-I 4'
_cell_length_a 12.880
_cell_length_b 12.880
_cell_length_c 5.217
_cell_angle_alpha 90.00
_cell_angle_beta 90.00
_cell_angle_gamma 90.00
loop_
_atom_site_label
_atom_site_type_symbol
_atom_site_fract_x
_atom_site_fract_y
_atom_site_fract_z
La1 La 0.000 0.000 0.000
La2 La 0.102 0.805 0.500
Pm1 Pm 0.089 0.610 0.000
Tl1 Tl 0.103 0.234 0.000
```

Most intense lines, 15° ≤ 2θ ≤ 90°, sorted by position:
two_theta	I (rel.)
30.3	100
31.1	10
33.4	13
34.4	23
35.5	16
47.0	7
50.3	12
59.1	15
62.2	7
64.3	12

---

La4Pm4Tl: calculated X-ray powder pattern (copper Kα), based on a PBE-relaxed structure.

Structure:
```
data_La4Pm4Tl
_chemical_formula_sum 'La8 Pm8 Tl2'
_symmetry_space_group_name_H-M 'I 4/m m m'
_symmetry_Int_Tables_number 139
_symmetry_space_group_name_Hall '-I 4 2'
_cell_length_a 11.056
_cell_length_b 11.056
_cell_length_c 5.045
_cell_angle_alpha 90.00
_cell_angle_beta 90.00
_cell_angle_gamma 90.00
loop_
_atom_site_label
_atom_site_type_symbol
_atom_site_fract_x
_atom_site_fract_y
_atom_site_fract_z
La1 La 0.160 0.160 0.000
Pm1 Pm 0.000 0.336 0.500
Tl1 Tl 0.000 0.000 0.500
```

Most intense lines, 15° ≤ 2θ ≤ 90°, sorted by position:
two_theta	I (rel.)
30.0	100
34.4	35
35.6	16
49.5	12
50.3	24
59.0	29
60.5	14
62.4	12
80.5	6
81.8	11

---

La5PmTl6: calculated X-ray powder pattern (copper Kα), based on a PBE-relaxed structure.

Structure:
```
data_La5PmTl6
_chemical_formula_sum 'La5 Pm1 Tl6'
_symmetry_space_group_name_H-M 'P -1'
_symmetry_Int_Tables_number 2
_cell_length_a 5.614
_cell_length_b 7.936
_cell_length_c 9.690
_cell_angle_alpha 114.09
_cell_angle_beta 106.31
_cell_angle_gamma 90.04
loop_
_symmetry_equiv_pos_as_xyz
'x,y,z'
'-x,-y,-z'
loop_
_atom_site_label
_atom_site_type_symbol
_atom_site_fract_x
_atom_site_fract_y
_atom_site_fract_z
La1 La 0.000 0.000 0.000
La2 La 0.328 0.328 0.656
La3 La 0.336 0.836 0.673
Pm1 Pm 0.000 0.500 0.000
Tl1 Tl 0.164 0.420 0.328
Tl2 Tl 0.164 0.908 0.328
Tl3 Tl 0.499 0.262 0.000
```

Most intense lines, 15° ≤ 2θ ≤ 90°, sorted by position:
two_theta	I (rel.)
31.9	100
32.0	49
45.5	9
45.7	9
46.0	9
56.7	19
56.8	19
57.0	19
75.4	8
76.2	8

---

LaPm15Tl4: calculated X-ray powder pattern (copper Kα), based on a PBE-relaxed structure.

Structure:
```
data_LaPm15Tl4
_chemical_formula_sum 'La1 Pm15 Tl4'
_symmetry_space_group_name_H-M 'P 4/m m m'
_symmetry_Int_Tables_number 123
_symmetry_space_group_name_Hall '-P 4 2'
_cell_length_a 4.964
_cell_length_b 4.964
_cell_length_c 25.509
_cell_angle_alpha 90.00
_cell_angle_beta 90.00
_cell_angle_gamma 90.00
loop_
_atom_site_label
_atom_site_type_symbol
_atom_site_fract_x
_atom_site_fract_y
_atom_site_fract_z
La1 La 0.000 0.000 0.000
Pm1 Pm 0.000 0.500 0.107
Pm2 Pm 0.000 0.500 0.304
Pm3 Pm 0.000 0.500 0.500
Pm4 Pm 0.500 0.500 0.000
Pm5 Pm 0.500 0.500 0.207
Pm6 Pm 0.500 0.500 0.402
Tl1 Tl 0.000 0.000 0.207
Tl2 Tl 0.000 0.000 0.403
```

Most intense lines, 15° ≤ 2θ ≤ 90°, sorted by position:
two_theta	I (rel.)
30.9	100
35.2	16
36.2	34
51.4	22
52.1	12
60.5	12
61.8	28
64.4	11
83.9	10
85.1	6

---

La6PmTl5: calculated X-ray powder pattern (copper Kα), based on a PBE-relaxed structure.

Structure:
```
data_La6PmTl5
_chemical_formula_sum 'La12 Pm2 Tl10'
_symmetry_space_group_name_H-M 'I m m m'
_symmetry_Int_Tables_number 71
_symmetry_space_group_name_Hall '-I 2 2'
_cell_length_a 5.687
_cell_length_b 7.856
_cell_length_c 17.329
_cell_angle_alpha 90.00
_cell_angle_beta 90.00
_cell_angle_gamma 90.00
loop_
_atom_site_label
_atom_site_type_symbol
_atom_site_fract_x
_atom_site_fract_y
_atom_site_fract_z
La1 La 0.000 0.230 0.000
La2 La 0.000 0.257 0.326
Pm1 Pm 0.000 0.000 0.500
Tl1 Tl 0.000 0.000 0.168
Tl2 Tl 0.000 0.500 0.150
Tl3 Tl 0.000 0.500 0.500
```

Most intense lines, 15° ≤ 2θ ≤ 90°, sorted by position:
two_theta	I (rel.)
31.0	25
31.5	26
31.7	100
44.7	18
46.2	9
55.6	17
56.2	20
56.7	9
57.0	10
66.3	11

---

La4Pm7Tl: calculated X-ray powder pattern (copper Kα), based on a PBE-relaxed structure.

Structure:
```
data_La4Pm7Tl
_chemical_formula_sum 'La8 Pm14 Tl2'
_symmetry_space_group_name_H-M 'C 1 2/m 1'
_symmetry_Int_Tables_number 12
_cell_length_a 16.528
_cell_length_b 6.103
_cell_length_c 9.530
_cell_angle_alpha 90.00
_cell_angle_beta 116.68
_cell_angle_gamma 90.00
loop_
_symmetry_equiv_pos_as_xyz
'x,y,z'
'-x,-y,-z'
'-x,y,-z'
'x,-y,z'
'x+1/2,y+1/2,z'
'-x+1/2,-y+1/2,-z'
'-x+1/2,y+1/2,-z'
'x+1/2,-y+1/2,z'
loop_
_atom_site_label
_atom_site_type_symbol
_atom_site_fract_x
_atom_site_fract_y
_atom_site_fract_z
La1 La 0.095 0.000 0.485
La2 La 0.229 0.000 0.273
Pm1 Pm 0.000 0.000 0.000
Pm2 Pm 0.065 0.500 0.724
Pm3 Pm 0.160 0.500 0.337
Pm4 Pm 0.219 0.000 0.897
Tl1 Tl 0.000 0.500 0.000
```

Most intense lines, 15° ≤ 2θ ≤ 90°, sorted by position:
two_theta	I (rel.)
28.3	32
28.5	24
29.3	100
29.9	29
30.4	45
30.9	58
31.7	59
32.8	63
42.3	23
42.7	37